Simulated X-ray powder pattern of Ta2MnSi for Cu Kα X-rays, from a PBE-relaxed structure.

```
Ta2MnSi
1.0
5.514 0.000 0.000
0.000 7.178 0.000
0.000 0.000 3.051
Ta Mn Si
4 2 2
Direct
0.250 0.250 0.000
0.250 0.750 0.000
0.750 0.250 0.000
0.750 0.750 0.000
0.000 0.000 0.500
0.500 0.500 0.500
0.000 0.500 0.500
0.500 0.000 0.500
```

Largest 10 diffraction maxima, low angle first, 2θ from 15° to 90°:
Position (°2θ)  I (rel.)  h k l
24.8  59  0 2 0
29.3  39  0 0 1
32.5  30  2 0 0
38.7  100  0 2 1
41.3  84  2 2 0
44.3  68  2 0 1
51.4  35  2 2 1
69.7  35  2 4 1
76.1  28  2 2 2
81.1  23  4 2 1


Simulated X-ray powder pattern of ThTaMnSi2 for Cu Kα X-rays, from a PBE-relaxed structure.

```
ThTaMnSi2
1.0
4.045 0.000 0.000
0.000 4.045 0.000
0.000 0.000 11.220
Th Ta Mn Si
2 2 2 4
Direct
0.000 0.000 0.000
0.500 0.500 0.500
0.000 0.500 0.750
0.500 0.000 0.250
0.000 0.500 0.250
0.500 0.000 0.750
0.000 0.000 0.389
0.000 0.000 0.611
0.500 0.500 0.111
0.500 0.500 0.889
```

Largest 10 diffraction maxima, low angle first, 2θ from 15° to 90°:
Position (°2θ)  I (rel.)  h k l
23.4  59  1 0 1
31.9  24  0 0 4
32.6  44  1 0 3
35.2  100  1 1 2
44.8  31  2 0 0
46.3  20  1 0 5
56.1  20  2 0 4
56.5  19  2 1 3
59.0  19  1 1 6
76.4  21  3 1 2